This entry pairs a crystal structure of Tb10Mn13C18 with its simulated X-ray diffraction stick pattern. Radiation: Cu Kα. Structure: a crystal structure in the Materials Project, relaxed with PBE.
No peak broadening, texture or thermal motion is included.

Principal peaks in the range 10 to 90 degrees two-theta, low angle first:
2theta  I_rel
27.97  28.1
30.70  100.0
33.23  80.4
35.60  61.7
37.84  60.2
45.87  23.1
51.23  23.0
52.92  22.6
56.21  49.2
68.33  26.2

Structure:
```
data_Tb10Mn13C18
_chemical_formula_sum 'Tb10 Mn13 C18'
_space_group_name_H-M_alt 'P 1'
_space_group_IT_number 1
_space_group_name_Hall 'P 1'
_cell_length_a 8.737
_cell_length_b 8.737
_cell_length_c 8.737
_cell_angle_alpha 109.47
_cell_angle_beta 109.47
_cell_angle_gamma 109.47
loop_
_atom_site_label
_atom_site_type_symbol
_atom_site_fract_x
_atom_site_fract_y
_atom_site_fract_z
Tb1 Tb 0.000 0.000 0.407
Tb2 Tb 0.000 0.407 0.000
Tb3 Tb 0.250 0.500 0.750
Tb4 Tb 0.250 0.750 0.500
Tb5 Tb 0.407 0.000 0.000
Tb6 Tb 0.500 0.250 0.750
Tb7 Tb 0.500 0.750 0.250
Tb8 Tb 0.593 0.593 0.593
Tb9 Tb 0.750 0.250 0.500
Tb10 Tb 0.750 0.500 0.250
Mn1 Mn 0.000 0.000 0.000
Mn2 Mn 0.000 0.669 0.823
Mn3 Mn 0.000 0.823 0.669
Mn4 Mn 0.154 0.331 0.331
Mn5 Mn 0.177 0.177 0.846
Mn6 Mn 0.177 0.846 0.177
Mn7 Mn 0.331 0.154 0.331
Mn8 Mn 0.331 0.331 0.154
Mn9 Mn 0.669 0.000 0.823
Mn10 Mn 0.669 0.823 0.000
Mn11 Mn 0.823 0.000 0.669
Mn12 Mn 0.823 0.669 0.000
Mn13 Mn 0.846 0.177 0.177
C1 C 0.000 0.217 0.702
C2 C 0.000 0.430 0.430
C3 C 0.000 0.570 0.570
C4 C 0.000 0.702 0.217
C5 C 0.217 0.000 0.702
C6 C 0.217 0.702 0.000
C7 C 0.298 0.298 0.515
C8 C 0.298 0.515 0.298
C9 C 0.430 0.000 0.430
C10 C 0.430 0.430 0.000
C11 C 0.485 0.783 0.783
C12 C 0.515 0.298 0.298
C13 C 0.570 0.000 0.570
C14 C 0.570 0.570 0.000
C15 C 0.702 0.000 0.217
C16 C 0.702 0.217 0.000
C17 C 0.783 0.485 0.783
C18 C 0.783 0.783 0.485
```



This entry pairs a crystal structure of AlSb with its simulated X-ray diffraction stick pattern. Radiation: Cu Kα. Structure: a crystal structure in the Materials Project, relaxed with PBE.
No peak broadening, texture or thermal motion is included.

Principal peaks in the range 10 to 90 degrees two-theta, low angle first:
2theta  I_rel
23.34  47.4
24.66  38.4
26.45  100.0
34.21  24.5
41.02  41.9
44.52  45.2
48.45  36.2
49.47  17.8
62.13  16.4
77.18  17.5

Structure:
```
data_AlSb
_chemical_formula_sum 'Al2 Sb2'
_space_group_name_H-M_alt 'P 1'
_space_group_IT_number 1
_space_group_name_Hall 'P 1'
_cell_length_a 4.400
_cell_length_b 4.400
_cell_length_c 7.221
_cell_angle_alpha 90.00
_cell_angle_beta 90.00
_cell_angle_gamma 120.00
loop_
_atom_site_label
_atom_site_type_symbol
_atom_site_fract_x
_atom_site_fract_y
_atom_site_fract_z
Al1 Al 0.333 0.667 0.000
Al2 Al 0.667 0.333 0.500
Sb1 Sb 0.333 0.667 0.375
Sb2 Sb 0.667 0.333 0.875
```



This entry pairs a crystal structure of Er3In4Co2 with its simulated X-ray diffraction stick pattern. Radiation: Cu Kα. Structure: a crystal structure in the Materials Project, relaxed with PBE.
No peak broadening, texture or thermal motion is included.

Principal peaks in the range 10 to 90 degrees two-theta, low angle first:
2theta  I_rel
33.94  100.0
34.07  78.2
36.38  50.8
38.80  37.0
42.98  39.9
52.22  16.1
59.27  16.5
63.83  25.1
64.06  32.1
66.92  14.2

Structure:
```
data_Er3In4Co2
_chemical_formula_sum 'Er3 In4 Co2'
_space_group_name_H-M_alt 'P 1'
_space_group_IT_number 1
_space_group_name_Hall 'P 1'
_cell_length_a 8.041
_cell_length_b 8.041
_cell_length_c 3.504
_cell_angle_alpha 90.00
_cell_angle_beta 90.00
_cell_angle_gamma 120.00
loop_
_atom_site_label
_atom_site_type_symbol
_atom_site_fract_x
_atom_site_fract_y
_atom_site_fract_z
Er1 Er 0.079 0.408 0.000
Er2 Er 0.329 0.921 0.000
Er3 Er 0.592 0.671 0.000
In1 In 0.000 0.000 0.000
In2 In 0.378 0.296 0.500
In3 In 0.704 0.082 0.500
In4 In 0.918 0.622 0.500
Co1 Co 0.333 0.667 0.500
Co2 Co 0.667 0.333 0.000
```